Starting from DFT lattice parameters and positions (PBE+U), the X-ray powder pattern of Li7Mn5O12 was computed for λ = 1.5418 Å (Cu Kα).

Peak list (10 most intense, 10 to 80 degrees two-theta, low angle first)
- hkl 1 0 -1, 2θ = 18.4°, intensity 100
- hkl 1 -2 1, 2θ = 34.7°, intensity 13
- hkl 2 1 3, 2θ = 35.7°, intensity 14
- hkl 2 3 1, 2θ = 36.4°, intensity 12
- hkl 2 0 -2, 2θ = 37.3°, intensity 9
- hkl 2 -2 0, 2θ = 41.8°, intensity 30
- hkl 1 1 4, 2θ = 43.4°, intensity 28
- hkl 3 3 0, 2θ = 44.6°, intensity 26
- hkl 3 -1 4, 2θ = 61.7°, intensity 8
- hkl 1 5 0, 2θ = 62.7°, intensity 8

Crystal structure
Cell lengths 7.749, 7.757, 8.348 Å; angles 74.75, 74.51, 67.75 degrees
Fractional coordinates of all 48 atoms:
Li (0.000, 0.000, 0.000)
Li (0.082, 0.593, 0.075)
Li (0.140, 0.179, 0.169)
Li (0.249, 0.749, 0.251)
Li (0.253, 0.750, 0.748)
Li (0.352, 0.315, 0.332)
Li (0.411, 0.913, 0.418)
Li (0.500, 0.500, 0.500)
Li (0.589, 0.087, 0.582)
Li (0.648, 0.685, 0.668)
Li (0.747, 0.250, 0.252)
Li (0.751, 0.251, 0.749)
Li (0.860, 0.821, 0.831)
Li (0.918, 0.407, 0.925)
Mn (0.000, 0.000, 0.500)
Mn (0.081, 0.589, 0.585)
Mn (0.176, 0.158, 0.665)
Mn (0.326, 0.341, 0.837)
Mn (0.414, 0.917, 0.916)
Mn (0.500, 0.500, 0.000)
Mn (0.586, 0.083, 0.084)
Mn (0.674, 0.659, 0.163)
Mn (0.824, 0.842, 0.335)
Mn (0.919, 0.411, 0.415)
O (0.010, 0.008, 0.731)
O (0.056, 0.595, 0.351)
O (0.105, 0.561, 0.820)
O (0.166, 0.151, 0.410)
O (0.169, 0.179, 0.924)
O (0.220, 0.765, 0.502)
O (0.282, 0.735, 0.997)
O (0.329, 0.354, 0.067)
O (0.337, 0.322, 0.604)
O (0.407, 0.930, 0.683)
O (0.450, 0.895, 0.149)
O (0.494, 0.492, 0.768)
O (0.506, 0.508, 0.232)
O (0.550, 0.105, 0.851)
O (0.593, 0.070, 0.317)
O (0.663, 0.678, 0.396)
O (0.671, 0.646, 0.933)
O (0.718, 0.265, 0.003)
O (0.780, 0.235, 0.498)
O (0.831, 0.821, 0.076)
O (0.834, 0.849, 0.590)
O (0.895, 0.439, 0.180)
O (0.944, 0.405, 0.649)
O (0.990, 0.992, 0.269)

***

Starting from DFT lattice parameters and positions (PBE+U), the X-ray powder pattern of Ni3Te2O8 was computed for λ = 1.5418 Å (Cu Kα).

Peak list (10 most intense, 10 to 80 degrees two-theta, low angle first)
- hkl 1 0 1, 2θ = 13.6°, intensity 46
- hkl 1 1 0, 2θ = 19.5°, intensity 68
- hkl 0 1 2, 2θ = 23.9°, intensity 88
- hkl 2 1 -2, 2θ = 23.9°, intensity 44
- hkl 2 0 -4, 2θ = 27.5°, intensity 32
- hkl 4 0 -2, 2θ = 27.6°, intensity 100
- hkl 0 2 0, 2θ = 36.2°, intensity 25
- hkl 4 1 0, 2θ = 36.7°, intensity 81
- hkl 4 1 -4, 2θ = 36.8°, intensity 35
- hkl 3 2 -5, 2θ = 51.0°, intensity 47

Crystal structure
Cell lengths 12.944, 4.969, 12.981 Å; angles 90.00, 119.73, 90.00 degrees
Fractional coordinates of all 52 atoms:
Ni (0.068, 0.000, 0.137)
Ni (0.068, 0.001, 0.431)
Ni (0.142, 0.498, 0.068)
Ni (0.142, 0.500, 0.573)
Ni (0.429, 0.492, 0.069)
Ni (0.429, 0.492, 0.860)
Ni (0.571, 0.992, 0.140)
Ni (0.571, 0.992, 0.931)
Ni (0.858, 0.000, 0.427)
Ni (0.858, 0.998, 0.932)
Ni (0.932, 0.500, 0.863)
Ni (0.932, 0.501, 0.569)
Te (0.167, 0.390, 0.833)
Te (0.216, 0.560, 0.357)
Te (0.361, 0.056, 0.222)
Te (0.363, 0.056, 0.639)
Te (0.637, 0.556, 0.361)
Te (0.639, 0.556, 0.778)
Te (0.784, 0.060, 0.643)
Te (0.833, 0.890, 0.167)
O (0.020, 0.195, 0.541)
O (0.021, 0.193, 0.979)
O (0.095, 0.820, 0.297)
O (0.097, 0.610, 0.902)
O (0.097, 0.611, 0.694)
O (0.179, 0.325, 0.229)
O (0.182, 0.327, 0.450)
O (0.226, 0.824, 0.174)
O (0.227, 0.826, 0.551)
O (0.295, 0.295, 0.090)
O (0.295, 0.296, 0.705)
O (0.306, 0.608, 0.903)
O (0.374, 0.645, 0.433)
O (0.447, 0.817, 0.176)
O (0.447, 0.817, 0.771)
O (0.458, 0.188, 0.979)
O (0.542, 0.688, 0.021)
O (0.553, 0.317, 0.229)
O (0.553, 0.317, 0.824)
O (0.626, 0.145, 0.567)
O (0.694, 0.108, 0.097)
O (0.705, 0.795, 0.910)
O (0.705, 0.796, 0.295)
O (0.773, 0.326, 0.449)
O (0.774, 0.324, 0.826)
O (0.818, 0.827, 0.550)
O (0.821, 0.825, 0.771)
O (0.903, 0.110, 0.098)
O (0.903, 0.111, 0.306)
O (0.905, 0.320, 0.703)
O (0.979, 0.693, 0.021)
O (0.980, 0.695, 0.459)